(1)
The following is a simulated X-ray powder pattern of Dy4PbC2Se. It was derived from a PBE-relaxed structure, using Cu Kα (λ = 1.5418 Å).

Largest 10 diffraction maxima, sorted by position, 2θ = 10–90°:
hkl 1 0 0, 3.209 Å, rel. 29; hkl 0 0 5, 2.938 Å, rel. 25; hkl 1 0 3, 2.683 Å, rel. 100; hkl 0 0 6, 2.446 Å, rel. 10; hkl 1 1 0, 1.853 Å, rel. 27; hkl 1 0 8, 1.593 Å, rel. 15; hkl 1 1 5, 1.567 Å, rel. 12; hkl 2 0 3, 1.524 Å, rel. 18; hkl 1 1 6, 1.477 Å, rel. 13; hkl 2 1 3, 1.177 Å, rel. 16

Crystal structure
Cell lengths 3.7051, 3.7051, 14.6753 Å; angles 90.00, 90.00, 120.00 degrees
Fractional positions:
Dy  0.0000  0.0000  0.1363
Dy  0.0000  0.0000  0.8637
Dy  0.6667  0.3333  0.3180
Dy  0.6667  0.3333  0.6820
Pb  0.0000  0.0000  0.5000
C  0.3333  0.6667  0.2294
C  0.3333  0.6667  0.7706
Se  0.6667  0.3333  0.0000

(2)
The following is a simulated X-ray powder pattern of DyTmPbC. It was derived from a PBE-relaxed structure, using Cu Kα (λ = 1.5418 Å).

Largest 10 diffraction maxima, sorted by position, 2θ = 10–90°:
hkl 1 0 0, 3.128 Å, rel. 23; hkl 1 0 3, 2.698 Å, rel. 100; hkl 0 0 6, 2.666 Å, rel. 21; hkl 1 0 6, 2.029 Å, rel. 16; hkl 1 1 0, 1.806 Å, rel. 21; hkl 1 0 9, 1.545 Å, rel. 19; hkl 2 0 3, 1.501 Å, rel. 17; hkl 1 1 6, 1.495 Å, rel. 22; hkl 2 0 9, 1.174 Å, rel. 8; hkl 2 1 3, 1.154 Å, rel. 15

Crystal structure
Cell lengths 3.6118, 3.6118, 15.9959 Å; angles 90.00, 90.00, 120.00 degrees
Fractional positions:
Dy  0.3333  0.6667  0.0000
Dy  0.6667  0.3333  0.5000
Tm  0.3333  0.6667  0.3354
Tm  0.6667  0.3333  0.8354
Pb  0.3333  0.6667  0.6688
Pb  0.6667  0.3333  0.1688
C  0.0000  0.0000  0.4162
C  0.0000  0.0000  0.9162

(3)
The following is a simulated X-ray powder pattern of DyY3Pb2C2. It was derived from a PBE-relaxed structure, using Cu Kα (λ = 1.5418 Å).

Largest 10 diffraction maxima, sorted by position, 2θ = 10–90°:
hkl 0 0 2, 8.071 Å, rel. 10; hkl 1 0 0, 3.155 Å, rel. 22; hkl 1 0 3, 2.721 Å, rel. 100; hkl 0 0 6, 2.690 Å, rel. 20; hkl 0 1 6, 2.047 Å, rel. 16; hkl 1 1 0, 1.821 Å, rel. 21; hkl 1 0 9, 1.559 Å, rel. 19; hkl 0 2 3, 1.514 Å, rel. 17; hkl 1 1 6, 1.508 Å, rel. 21; hkl 2 1 3, 1.164 Å, rel. 15

Crystal structure
Cell lengths 3.6427, 3.6427, 16.1413 Å; angles 90.00, 90.00, 120.00 degrees
Fractional positions:
Dy  0.0000  0.0000  0.0000
Y  0.0000  0.0000  0.3348
Y  0.3333  0.6667  0.5001
Y  0.3333  0.6667  0.8348
Pb  0.0000  0.0000  0.6675
Pb  0.3333  0.6667  0.1675
C  0.6667  0.3333  0.4175
C  0.6667  0.3333  0.9176

(4)
The following is a simulated X-ray powder pattern of Dy12Re5C15. It was derived from a PBE-relaxed structure, using Cu Kα (λ = 1.5418 Å).

Largest 10 diffraction maxima, sorted by position, 2θ = 10–90°:
hkl 2 1 1, 2.890 Å, rel. 100; hkl 3 0 1, 2.645 Å, rel. 22; hkl 3 1 0, 2.576 Å, rel. 40; hkl 0 0 2, 2.544 Å, rel. 37; hkl 2 2 1, 2.372 Å, rel. 15; hkl 3 1 1, 2.298 Å, rel. 9; hkl 3 1 2, 1.810 Å, rel. 28; hkl 5 1 1, 1.585 Å, rel. 12; hkl 2 1 3, 1.527 Å, rel. 18; hkl 3 3 2, 1.463 Å, rel. 11

Crystal structure
Cell lengths 10.7248, 10.7248, 5.0884 Å; angles 90.00, 90.00, 120.00 degrees
Fractional positions:
Dy  0.0000  0.4261  0.0000
Dy  0.0000  0.7951  0.0000
Dy  0.1861  0.7300  0.5000
Dy  0.2049  0.2049  0.0000
Dy  0.2700  0.4561  0.5000
Dy  0.4261  0.0000  0.0000
Dy  0.4561  0.2700  0.5000
Dy  0.5439  0.8139  0.5000
Dy  0.5739  0.5739  0.0000
Dy  0.7300  0.1861  0.5000
Dy  0.7951  0.0000  0.0000
Dy  0.8139  0.5439  0.5000
Re  0.0000  0.1518  0.5000
Re  0.1518  0.0000  0.5000
Re  0.3333  0.6667  0.0000
Re  0.6667  0.3333  0.0000
Re  0.8482  0.8482  0.5000
C  0.0000  0.3331  0.5000
C  0.0000  0.4596  0.5000
C  0.0000  0.7845  0.5000
C  0.1891  0.7219  0.0000
C  0.2155  0.2155  0.5000
C  0.2781  0.4672  0.0000
C  0.3331  0.0000  0.5000
C  0.4596  0.0000  0.5000
C  0.4672  0.2781  0.0000
C  0.5328  0.8109  0.0000
C  0.5404  0.5404  0.5000
C  0.6669  0.6669  0.5000
C  0.7219  0.1891  0.0000
C  0.7845  0.0000  0.5000
C  0.8109  0.5328  0.0000

(5)
The following is a simulated X-ray powder pattern of DyScCS. It was derived from a PBE-relaxed structure, using Cu Kα (λ = 1.5418 Å).

Largest 10 diffraction maxima, sorted by position, 2θ = 10–90°:
hkl 0 0 3, 4.146 Å, rel. 18; hkl 1 0 0, 3.103 Å, rel. 56; hkl 1 0 1, 3.010 Å, rel. 26; hkl 1 0 3, 2.484 Å, rel. 100; hkl 1 0 4, 2.196 Å, rel. 17; hkl 1 1 0, 1.791 Å, rel. 26; hkl 1 0 6, 1.723 Å, rel. 19; hkl 2 0 0, 1.552 Å, rel. 14; hkl 2 0 3, 1.453 Å, rel. 18; hkl 2 1 3, 1.128 Å, rel. 16

Crystal structure
Cell lengths 3.5819, 3.5819, 12.4384 Å; angles 90.00, 90.00, 120.00 degrees
Fractional positions:
Dy  0.0000  0.0000  0.1539
Dy  0.0000  0.0000  0.8461
Sc  0.3333  0.6667  0.3607
Sc  0.3333  0.6667  0.6393
C  0.6667  0.3333  0.2630
C  0.6667  0.3333  0.7370
S  0.0000  0.0000  0.5000
S  0.3333  0.6667  0.0000

(6)
The following is a simulated X-ray powder pattern of DyScCS. It was derived from a PBE-relaxed structure, using Cu Kα (λ = 1.5418 Å).

Largest 10 diffraction maxima, sorted by position, 2θ = 10–90°:
hkl 0 0 2, 6.222 Å, rel. 48; hkl 0 0 4, 3.105 Å, rel. 45; hkl 1 0 1, 3.009 Å, rel. 55; hkl 1 0 3, 2.484 Å, rel. 100; hkl 1 0 4, 2.196 Å, rel. 14; hkl 1 1 0, 1.791 Å, rel. 28; hkl 1 1 4, 1.552 Å, rel. 17; hkl 2 0 3, 1.452 Å, rel. 18; hkl 1 1 6, 1.355 Å, rel. 14; hkl 2 1 3, 1.128 Å, rel. 16

Crystal structure
Cell lengths 3.5811, 3.5811, 12.4433 Å; angles 90.00, 90.00, 120.00 degrees
Fractional positions:
Dy  0.3333  0.6667  0.0000
Dy  0.6667  0.3333  0.5000
Sc  0.3333  0.6667  0.7068
Sc  0.6667  0.3333  0.2068
C  0.0000  0.0000  0.1082
C  0.0000  0.0000  0.6082
S  0.3333  0.6667  0.3443
S  0.6667  0.3333  0.8443

(7)
The following is a simulated X-ray powder pattern of TbDyCS. It was derived from a PBE-relaxed structure, using Cu Kα (λ = 1.5418 Å).

Largest 10 diffraction maxima, sorted by position, 2θ = 10–90°:
hkl 0 0 4, 3.238 Å, rel. 20; hkl 1 0 0, 3.219 Å, rel. 31; hkl 1 0 1, 3.124 Å, rel. 40; hkl 1 0 3, 2.580 Å, rel. 100; hkl 1 0 4, 2.283 Å, rel. 15; hkl 1 1 0, 1.858 Å, rel. 31; hkl 1 1 4, 1.611 Å, rel. 21; hkl 1 0 7, 1.604 Å, rel. 18; hkl 2 0 3, 1.508 Å, rel. 19; hkl 2 1 3, 1.171 Å, rel. 17

Crystal structure
Cell lengths 3.7167, 3.7167, 12.9511 Å; angles 90.00, 90.00, 120.00 degrees
Fractional positions:
Tb  0.3333  0.6667  0.0000
Tb  0.6667  0.3333  0.5000
Dy  0.3333  0.6667  0.2911
Dy  0.6667  0.3333  0.7911
C  0.0000  0.0000  0.3952
C  0.0000  0.0000  0.8952
S  0.3333  0.6667  0.6465
S  0.6667  0.3333  0.1465

(8)
The following is a simulated X-ray powder pattern of DyZr4C2S. It was derived from a PBE-relaxed structure, using Cu Kα (λ = 1.5418 Å).

Largest 10 diffraction maxima, sorted by position, 2θ = 10–90°:
hkl 1 0 0, 2.944 Å, rel. 36; hkl 0 0 5, 2.901 Å, rel. 26; hkl 1 0 2, 2.728 Å, rel. 44; hkl 1 0 3, 2.514 Å, rel. 100; hkl 1 0 5, 2.066 Å, rel. 23; hkl 1 1 0, 1.700 Å, rel. 30; hkl 1 0 8, 1.544 Å, rel. 22; hkl 1 1 5, 1.466 Å, rel. 20; hkl 2 0 3, 1.408 Å, rel. 16; hkl 2 0 8, 1.143 Å, rel. 8

Crystal structure
Cell lengths 3.3990, 3.3990, 14.5064 Å; angles 90.00, 90.00, 120.00 degrees
Fractional positions:
Dy  0.0000  0.0000  0.0000
Zr  0.0000  0.0000  0.3742
Zr  0.0000  0.0000  0.6258
Zr  0.3333  0.6667  0.2012
Zr  0.3333  0.6667  0.7988
C  0.6667  0.3333  0.2878
C  0.6667  0.3333  0.7121
S  0.3333  0.6667  0.5000

(9)
The following is a simulated X-ray powder pattern of Dy4TlSbC2. It was derived from a PBE-relaxed structure, using Cu Kα (λ = 1.5418 Å).

Largest 10 diffraction maxima, sorted by position, 2θ = 10–90°:
hkl 1 0 0, 3.140 Å, rel. 23; hkl 1 0 3, 2.698 Å, rel. 100; hkl 0 0 6, 2.635 Å, rel. 19; hkl 1 0 6, 2.019 Å, rel. 15; hkl 1 1 0, 1.813 Å, rel. 22; hkl 1 0 9, 1.533 Å, rel. 17; hkl 2 0 3, 1.505 Å, rel. 17; hkl 1 1 6, 1.494 Å, rel. 21; hkl 2 0 9, 1.171 Å, rel. 7; hkl 2 1 3, 1.158 Å, rel. 15

Crystal structure
Cell lengths 3.6258, 3.6258, 15.8119 Å; angles 90.00, 90.00, 120.00 degrees
Fractional positions:
Dy  0.0000  0.0000  0.1592
Dy  0.0000  0.0000  0.8408
Dy  0.6667  0.3333  0.3295
Dy  0.6667  0.3333  0.6705
Tl  0.0000  0.0000  0.5000
Sb  0.6667  0.3333  0.0000
C  0.3333  0.6667  0.2425
C  0.3333  0.6667  0.7575

(10)
The following is a simulated X-ray powder pattern of DySc3C2Se2. It was derived from a PBE-relaxed structure, using Cu Kα (λ = 1.5418 Å).

Largest 10 diffraction maxima, sorted by position, 2θ = 10–90°:
hkl 0 0 2, 6.290 Å, rel. 11; hkl 1 0 0, 3.095 Å, rel. 31; hkl 0 1 1, 3.005 Å, rel. 11; hkl 0 1 2, 2.777 Å, rel. 17; hkl 0 1 3, 2.490 Å, rel. 100; hkl 1 1 0, 1.787 Å, rel. 27; hkl 1 0 6, 1.736 Å, rel. 13; hkl 2 0 3, 1.452 Å, rel. 18; hkl 1 1 6, 1.360 Å, rel. 14; hkl 1 2 3, 1.127 Å, rel. 16

Crystal structure
Cell lengths 3.5732, 3.5732, 12.5801 Å; angles 90.00, 90.00, 120.00 degrees
Fractional positions:
Dy  0.0000  0.0000  0.0000
Sc  0.0000  0.0000  0.3097
Sc  0.3333  0.6667  0.5001
Sc  0.3333  0.6667  0.7959
C  0.6667  0.3333  0.4055
C  0.6667  0.3333  0.8929
Se  0.0000  0.0000  0.6483
Se  0.3333  0.6667  0.1638

(11)
The following is a simulated X-ray powder pattern of Dy4TlC2Se. It was derived from a PBE-relaxed structure, using Cu Kα (λ = 1.5418 Å).

Largest 10 diffraction maxima, sorted by position, 2θ = 10–90°:
hkl 1 0 0, 3.200 Å, rel. 30; hkl 0 0 5, 2.955 Å, rel. 11; hkl 1 0 2, 2.937 Å, rel. 15; hkl 1 0 3, 2.684 Å, rel. 100; hkl 1 1 0, 1.848 Å, rel. 28; hkl 1 0 8, 1.600 Å, rel. 19; hkl 1 1 5, 1.567 Å, rel. 10; hkl 2 0 3, 1.522 Å, rel. 18; hkl 1 1 6, 1.478 Å, rel. 13; hkl 2 1 3, 1.175 Å, rel. 16

Crystal structure
Cell lengths 3.6955, 3.6955, 14.7738 Å; angles 90.00, 90.00, 120.00 degrees
Fractional positions:
Dy  0.0000  0.0000  0.1354
Dy  0.0000  0.0000  0.8646
Dy  0.6667  0.3333  0.3169
Dy  0.6667  0.3333  0.6831
Tl  0.0000  0.0000  0.5000
C  0.3333  0.6667  0.2279
C  0.3333  0.6667  0.7721
Se  0.6667  0.3333  0.0000

(12)
The following is a simulated X-ray powder pattern of Dy3TmC2Se2. It was derived from a PBE-relaxed structure, using Cu Kα (λ = 1.5418 Å).

Largest 10 diffraction maxima, sorted by position, 2θ = 10–90°:
hkl 1 0 0, 3.243 Å, rel. 29; hkl 1 0 1, 3.149 Å, rel. 13; hkl 1 0 3, 2.612 Å, rel. 100; hkl 0 0 6, 2.204 Å, rel. 10; hkl 1 1 0, 1.872 Å, rel. 28; hkl 1 0 6, 1.823 Å, rel. 10; hkl 1 0 7, 1.632 Å, rel. 9; hkl 0 2 3, 1.522 Å, rel. 19; hkl 1 1 6, 1.427 Å, rel. 15; hkl 2 1 3, 1.181 Å, rel. 17

Crystal structure
Cell lengths 3.7444, 3.7444, 13.2245 Å; angles 90.00, 90.00, 120.00 degrees
Fractional positions:
Dy  0.0000  0.0000  0.0000
Dy  0.0000  0.0000  0.3011
Dy  0.6667  0.3333  0.7983
Tm  0.6667  0.3333  0.4996
C  0.3333  0.6667  0.4016
C  0.3333  0.6667  0.8990
Se  0.0000  0.0000  0.6463
Se  0.6667  0.3333  0.1501

(13)
The following is a simulated X-ray powder pattern of TbDySi2W2C. It was derived from a PBE-relaxed structure, using Cu Kα (λ = 1.5418 Å).

Largest 10 diffraction maxima, sorted by position, 2θ = 10–90°:
hkl 0 0 1, 5.824 Å, rel. 32; hkl 2 0 1, 2.862 Å, rel. 50; hkl 4 0 -1, 2.700 Å, rel. 23; hkl 3 1 -1, 2.661 Å, rel. 93; hkl 1 1 -2, 2.548 Å, rel. 100; hkl 3 1 0, 2.374 Å, rel. 20; hkl 4 0 -3, 2.251 Å, rel. 29; hkl 0 2 0, 1.921 Å, rel. 28; hkl 2 2 1, 1.595 Å, rel. 18; hkl 1 1 3, 1.560 Å, rel. 17

Crystal structure
Cell lengths 11.0968, 3.8430, 7.1369 Å; angles 90.00, 125.31, 90.00 degrees
Fractional positions:
Tb  0.0000  0.0000  0.0000
Tb  0.5000  0.5000  0.0000
Dy  0.3507  0.5000  0.4073
Dy  0.8507  0.0000  0.4073
Si  0.0571  0.5000  0.3655
Si  0.2934  0.0000  0.0417
Si  0.5571  0.0000  0.3655
Si  0.7934  0.5000  0.0417
W  0.1325  0.5000  0.7867
W  0.2178  0.0000  0.6197
W  0.6325  0.0000  0.7867
W  0.7178  0.5000  0.6197
C  0.4249  0.0000  0.7024
C  0.9249  0.5000  0.7024

(14)
The following is a simulated X-ray powder pattern of DyY3Sn2C2. It was derived from a PBE-relaxed structure, using Cu Kα (λ = 1.5418 Å).

Largest 10 diffraction maxima, sorted by position, 2θ = 10–90°:
hkl 1 0 0, 3.143 Å, rel. 22; hkl 0 1 3, 2.702 Å, rel. 100; hkl 0 0 6, 2.645 Å, rel. 20; hkl 1 0 6, 2.024 Å, rel. 16; hkl 1 1 0, 1.815 Å, rel. 22; hkl 0 1 9, 1.538 Å, rel. 18; hkl 2 0 3, 1.506 Å, rel. 17; hkl 1 1 6, 1.496 Å, rel. 21; hkl 2 0 9, 1.173 Å, rel. 8; hkl 1 2 3, 1.159 Å, rel. 15

Crystal structure
Cell lengths 3.6291, 3.6291, 15.8675 Å; angles 90.00, 90.00, 120.00 degrees
Fractional positions:
Dy  0.0000  0.0000  0.0000
Y  0.0000  0.0000  0.3310
Y  0.3333  0.6667  0.5005
Y  0.3333  0.6667  0.8307
Sn  0.0000  0.0000  0.6658
Sn  0.3333  0.6667  0.1657
C  0.6667  0.3333  0.4159
C  0.6667  0.3333  0.9162